Record 1
Diffraction record for Dy3PuO7. The X-ray diffraction stick pattern is simulated, not measured: it uses a GGA-PBE-relaxed structure and Cu Kα (weighted mean of Kα1 and Kα2).

Main lines, sorted by position (2θ from 10° to 80°):
2θ/deg	d [Å]	I (rel.)	h k l
28.58	3.123	100.0	0 2 2
28.90	3.089	96.8	2 2 0
33.31	2.690	71.3	2 0 2
47.38	1.919	16.5	0 0 4
47.84	1.901	59.4	2 4 2
56.46	1.630	30.2	2 2 4
57.01	1.615	27.0	4 2 2
79.74	1.203	16.0	4 4 4

Structure:
abc: 7.551 10.746 7.675
angles: 90.00 90.00 90.00
Space group Cmcm (No. 63)
Symmetry-distinct sites (fractional):
Dy 0.000 0.000 0.000 [4 per cell]
Dy 0.232 0.265 0.250 [8 per cell]
Pu 0.000 0.500 0.000 [4 per cell]
O 0.000 0.133 0.750 [4 per cell]
O 0.000 0.134 0.250 [4 per cell]
O 0.000 0.406 0.250 [4 per cell]
O 0.211 0.375 0.530 [16 per cell]


Record 2
Diffraction record for RbDyS2O8. The X-ray diffraction stick pattern is simulated, not measured: it uses a GGA-PBE-relaxed structure and Cu Kα (weighted mean of Kα1 and Kα2).

Main lines, sorted by position (2θ from 10° to 80°):
2θ/deg	d [Å]	I (rel.)	h k l
13.04	6.787	100.0	0 2 0
22.74	3.911	72.2	2 2 0
23.13	3.845	98.3	1 2 1
25.83	3.450	28.4	2 1 1
27.12	3.288	30.3	2 3 0
27.46	3.248	68.8	1 3 1
32.68	2.740	95.4	3 0 1
42.41	2.132	52.9	3 4 1

Structure:
abc: 9.570 13.574 5.345
angles: 90.00 90.00 90.00
Space group Pnna (No. 52)
Symmetry-distinct sites (fractional):
Rb 0.078 0.250 0.250 [4 per cell]
Dy 0.250 0.000 0.672 [4 per cell]
S 0.087 0.583 0.265 [8 per cell]
O 0.064 0.110 0.781 [8 per cell]
O 0.102 0.022 0.313 [8 per cell]
O 0.152 0.600 0.514 [8 per cell]
O 0.158 0.642 0.066 [8 per cell]


Record 3
Diffraction record for Rb3DySb2O6. The X-ray diffraction stick pattern is simulated, not measured: it uses a GGA-PBE-relaxed structure and Cu Kα (weighted mean of Kα1 and Kα2).

Main lines, sorted by position (2θ from 10° to 80°):
2θ/deg	d [Å]	I (rel.)	h k l
20.26	4.382	18.6	1 0 1
28.75	3.105	100.0	1 1 0
28.87	3.092	97.1	0 1 2
41.20	2.191	52.0	2 0 2
50.98	1.791	59.7	3 0 0
51.24	1.783	15.2	1 0 4
59.54	1.553	17.4	2 2 0
67.50	1.388	17.3	3 1 2

Structure:
abc: 6.2106 6.2106 7.5595
angles: 90.00 90.00 120.00
Space group P-3m1 (No. 164)
Symmetry-distinct sites (fractional):
Rb 0.0000 0.0000 0.0000 [1 per cell]
Rb 0.3333 0.6667 0.6589 [2 per cell]
Dy 0.0000 0.0000 0.5000 [1 per cell]
Sb 0.3333 0.6667 0.1998 [2 per cell]
O 0.1719 0.3438 0.3211 [6 per cell]


Record 4
Diffraction record for Rb3DyTl2O6. The X-ray diffraction stick pattern is simulated, not measured: it uses a GGA-PBE-relaxed structure and Cu Kα (weighted mean of Kα1 and Kα2).

Main lines, sorted by position (2θ from 10° to 80°):
2θ/deg	d [Å]	I (rel.)	h k l
13.53	6.546	43.8	0 0 1
27.24	3.273	42.4	0 0 2
30.69	2.913	86.9	2 0 0
34.62	2.591	100.0	1 3 1
47.54	1.913	37.1	2 0 2
51.92	1.761	31.6	3 3 -1
55.66	1.651	20.2	1 3 3
59.61	1.551	29.9	3 3 1

Structure:
abc: 6.100 10.570 6.853
angles: 90.00 107.21 90.00
Space group C2/m (No. 12)
Symmetry-distinct sites (fractional):
Rb 0.000 0.000 0.000 [2 per cell]
Rb 0.000 0.330 0.000 [4 per cell]
Dy 0.000 0.500 0.500 [2 per cell]
Tl 0.000 0.166 0.500 [4 per cell]
O 0.225 0.336 0.684 [8 per cell]
O 0.234 0.000 0.685 [4 per cell]


What did the first record say?
Diffraction record for Dy3PuO7. The X-ray diffraction stick pattern is simulated, not measured: it uses a GGA-PBE-relaxed structure and Cu Kα (weighted mean of Kα1 and Kα2).

Main lines, sorted by position (2θ from 10° to 80°):
2θ/deg	d [Å]	I (rel.)	h k l
28.58	3.123	100.0	0 2 2
28.90	3.089	96.8	2 2 0
33.31	2.690	71.3	2 0 2
47.38	1.919	16.5	0 0 4
47.84	1.901	59.4	2 4 2
56.46	1.630	30.2	2 2 4
57.01	1.615	27.0	4 2 2
79.74	1.203	16.0	4 4 4

Structure:
abc: 7.551 10.746 7.675
angles: 90.00 90.00 90.00
Space group Cmcm (No. 63)
Symmetry-distinct sites (fractional):
Dy 0.000 0.000 0.000 [4 per cell]
Dy 0.232 0.265 0.250 [8 per cell]
Pu 0.000 0.500 0.000 [4 per cell]
O 0.000 0.133 0.750 [4 per cell]
O 0.000 0.134 0.250 [4 per cell]
O 0.000 0.406 0.250 [4 per cell]
O 0.211 0.375 0.530 [16 per cell]


Which formula does entry 3 have? Rb3DySb2O6